(1)
SbPO2F6: computed PXRD pattern (Cu Kα, 1.54184 Å), based on a GGA-PBE-relaxed structure.

Atomic structure:
```
SbPO2F6
1.0
5.7003 0.0000 0.0000
0.8652 7.5084 0.0000
1.8224 0.0104 7.3950
Sb P O F
2 2 4 12
Direct
0.0825 0.2306 0.2559
0.9175 0.7694 0.7441
0.2701 0.8079 0.3326
0.7299 0.1921 0.6674
0.0647 0.7364 0.4713
0.2827 0.0070 0.3251
0.7173 0.9930 0.6749
0.9353 0.2636 0.5287
0.1093 0.5607 0.7905
0.1657 0.9180 0.7455
0.2364 0.1834 0.0100
0.2580 0.7370 0.1484
0.3331 0.3580 0.2937
0.4836 0.2780 0.6409
0.5164 0.7220 0.3591
0.6669 0.6420 0.7063
0.7420 0.2630 0.8516
0.7636 0.8166 0.9900
0.8343 0.0820 0.2545
0.8907 0.4393 0.2095
```

Main lines, in order of falling intensity (10° ≤ 2θ ≤ 90°):
- 20.2 deg, 4.387 Å, I 100, hkl 1 1 1
- 16.8 deg, 5.269 Å, I 94, hkl 0 1 1
- 22.3 deg, 3.987 Å, I 79, hkl 1 -1 1
- 23.7 deg, 3.754 Å, I 75, hkl 0 2 0
- 16.1 deg, 5.501 Å, I 74, hkl 1 0 0
- 24.1 deg, 3.697 Å, I 74, hkl 0 0 2
- 17.7 deg, 5.022 Å, I 54, hkl 1 0 1
- 38.4 deg, 2.342 Å, I 49, hkl 0 1 3
- 31.2 deg, 2.870 Å, I 36, hkl 1 -2 1
- 24.4 deg, 3.641 Å, I 32, hkl 1 1 -1
- 34.1 deg, 2.632 Å, I 21, hkl 0 2 -2
- 46.2 deg, 1.964 Å, I 20, hkl 2 3 0

***

(2)
KGaP2H2: computed PXRD pattern (Cu Kα, 1.54184 Å), based on a GGA-PBE-relaxed structure.

Atomic structure:
```
KGaP2H2
1.0
10.6400 0.0000 0.0000
0.0000 8.1132 0.0000
0.0000 0.0000 6.9758
K Ga P H
4 4 8 8
Direct
0.2248 0.2500 0.2024
0.2752 0.7500 0.7024
0.7248 0.2500 0.2976
0.7752 0.7500 0.7976
0.0360 0.2500 0.7073
0.4640 0.7500 0.2073
0.5360 0.2500 0.7927
0.9640 0.7500 0.2927
0.0590 0.5020 0.8847
0.0590 0.9980 0.8847
0.4410 0.0020 0.3847
0.4410 0.4980 0.3847
0.5590 0.5020 0.6153
0.5590 0.9980 0.6153
0.9410 0.0020 0.1153
0.9410 0.4980 0.1153
0.0944 0.7500 0.4038
0.1558 0.2500 0.5681
0.3442 0.7500 0.0681
0.4056 0.2500 0.9038
0.5944 0.7500 0.0962
0.6558 0.2500 0.9319
0.8442 0.7500 0.4319
0.9056 0.2500 0.5962
```

Main lines, in order of falling intensity (10° ≤ 2θ ≤ 90°):
- 23.7 deg, 3.751 Å, I 100, hkl 2 1 1
- 16.7 deg, 5.312 Å, I 42, hkl 2 0 0
- 26.8 deg, 3.331 Å, I 29, hkl 1 2 1
- 36.1 deg, 2.486 Å, I 27, hkl 4 0 1
- 39.6 deg, 2.279 Å, I 26, hkl 2 3 1
- 33.9 deg, 2.645 Å, I 20, hkl 0 2 2
- 25.5 deg, 3.488 Å, I 16, hkl 0 0 2
- 20.0 deg, 4.449 Å, I 15, hkl 2 1 0
- 21.0 deg, 4.230 Å, I 15, hkl 2 0 1
- 44.7 deg, 2.028 Å, I 13, hkl 0 4 0
- 45.8 deg, 1.982 Å, I 12, hkl 1 2 3
- 58.8 deg, 1.571 Å, I 12, hkl 4 4 1

***

What did the first record say?
SbPO2F6: computed PXRD pattern (Cu Kα, 1.54184 Å), based on a GGA-PBE-relaxed structure.

Atomic structure:
```
SbPO2F6
1.0
5.7003 0.0000 0.0000
0.8652 7.5084 0.0000
1.8224 0.0104 7.3950
Sb P O F
2 2 4 12
Direct
0.0825 0.2306 0.2559
0.9175 0.7694 0.7441
0.2701 0.8079 0.3326
0.7299 0.1921 0.6674
0.0647 0.7364 0.4713
0.2827 0.0070 0.3251
0.7173 0.9930 0.6749
0.9353 0.2636 0.5287
0.1093 0.5607 0.7905
0.1657 0.9180 0.7455
0.2364 0.1834 0.0100
0.2580 0.7370 0.1484
0.3331 0.3580 0.2937
0.4836 0.2780 0.6409
0.5164 0.7220 0.3591
0.6669 0.6420 0.7063
0.7420 0.2630 0.8516
0.7636 0.8166 0.9900
0.8343 0.0820 0.2545
0.8907 0.4393 0.2095
```

Main lines, in order of falling intensity (10° ≤ 2θ ≤ 90°):
- 20.2 deg, 4.387 Å, I 100, hkl 1 1 1
- 16.8 deg, 5.269 Å, I 94, hkl 0 1 1
- 22.3 deg, 3.987 Å, I 79, hkl 1 -1 1
- 23.7 deg, 3.754 Å, I 75, hkl 0 2 0
- 16.1 deg, 5.501 Å, I 74, hkl 1 0 0
- 24.1 deg, 3.697 Å, I 74, hkl 0 0 2
- 17.7 deg, 5.022 Å, I 54, hkl 1 0 1
- 38.4 deg, 2.342 Å, I 49, hkl 0 1 3
- 31.2 deg, 2.870 Å, I 36, hkl 1 -2 1
- 24.4 deg, 3.641 Å, I 32, hkl 1 1 -1
- 34.1 deg, 2.632 Å, I 21, hkl 0 2 -2
- 46.2 deg, 1.964 Å, I 20, hkl 2 3 0